This entry pairs a crystal structure of Sr2MnAlCu2O7 with its computed powder XRD pattern. Radiation: Cu Kα, 1.54184 Å. Structure: a GGA+U-relaxed structure.

Main lines, in order of rising 2θ (5 to 70 degrees two-theta):
(hkl)	d [Å]	2theta	intensity
4 1 1	3.163	28.21	53.4
6 1 1	2.708	33.08	83.2
0 0 2	2.657	33.73	100.0
10 0 0	2.343	38.43	39.9
8 1 1	2.310	38.99	37.4
0 2 2	1.879	48.45	43.4
10 0 2	1.757	52.04	32.2
6 1 3	1.544	59.92	32.3
10 2 2	1.466	63.47	22.9
8 3 1	1.458	63.86	23.1

Cell and atoms:
```
data_Sr2MnAlCu2O7
_chemical_formula_sum 'Sr8 Mn4 Al4 Cu8 O28'
_space_group_name_H-M_alt 'I m a 2'
_space_group_IT_number 46
_cell_length_a 23.4263
_cell_length_b 5.3094
_cell_length_c 5.3199
_cell_angle_alpha 90.00
_cell_angle_beta 90.00
_cell_angle_gamma 90.00
loop_
_space_group_symop_operation_xyz
'x,y,z'
'-x,-y,z'
'-x+1/2,y,z'
'x+1/2,-y,z'
'x+1/2,y+1/2,z+1/2'
'-x+1/2,-y+1/2,z+1/2'
'-x,y+1/2,z+1/2'
'x,-y+1/2,z+1/2'
loop_
_atom_site_label
_atom_site_type_symbol
_atom_site_fract_x
_atom_site_fract_y
_atom_site_fract_z
_atom_site_occupancy
Sr1 Sr 0.1482 0.0069 0.0000 1
Mn1 Mn 0.2500 0.5614 0.9614 1
Al1 Al 0.0000 0.0000 0.0063 1
Cu1 Cu 0.0581 0.5005 0.0046 1
O1 O 0.0541 0.1774 0.1822 1
O2 O 0.0537 0.6771 0.3275 1
O3 O 0.1708 0.0043 0.5062 1
O4 O 0.2500 0.5822 0.5966 1
```